No. 1
For LaDyAg2S4, a cell relaxed with GGA-PBE gives the theoretical powder XRD pattern in this record (CuKα).
Peak positions follow from Bragg's law for the DFT cell and can differ from measured ones.

Structural model:
```
data_LaDyAg2S4
_chemical_formula_sum 'La1 Dy1 Ag2 S4'
_space_group_name_H-M_alt 'P 1'
_space_group_IT_number 1
_space_group_name_Hall 'P 1'
_cell_length_a 6.4021
_cell_length_b 6.4021
_cell_length_c 6.4021
_cell_angle_alpha 116.65
_cell_angle_beta 115.64
_cell_angle_gamma 96.81
loop_
_atom_site_label
_atom_site_fract_x
_atom_site_fract_y
_atom_site_fract_z
La1 0.0000 0.0000 0.0000
Dy1 0.5000 0.5000 0.0000
Ag1 0.3282 0.8282 0.5000
Ag2 0.6718 0.1718 0.5000
S1 0.0967 0.1156 0.5272
S2 0.4116 0.8844 0.9811
S3 0.5884 0.5695 0.4728
S4 0.9033 0.4305 0.0189
```

Principal peaks in the range 2θ = 10–80°, sorted by position:
2θ = 16.67°, I 16; 2θ = 26.14°, I 23; 2θ = 26.52°, I 23; 2θ = 28.07°, I 100; 2θ = 34.31°, I 14; 2θ = 37.57°, I 50; 2θ = 46.77°, I 20; 2θ = 47.33°, I 23; 2θ = 47.78°, I 23; 2θ = 78.44°, I 12

No. 2
For Li5DyAg6, a cell relaxed with GGA-PBE gives the theoretical powder XRD pattern in this record (CuKα).
Peak positions follow from Bragg's law for the DFT cell and can differ from measured ones.

Structural model:
```
data_Li5DyAg6
_chemical_formula_sum 'Li5 Dy1 Ag6'
_space_group_name_H-M_alt 'P 1'
_space_group_IT_number 1
_space_group_name_Hall 'P 1'
_cell_length_a 8.0320
_cell_length_b 8.0320
_cell_length_c 8.0320
_cell_angle_alpha 145.83
_cell_angle_beta 132.56
_cell_angle_gamma 59.76
loop_
_atom_site_label
_atom_site_fract_x
_atom_site_fract_y
_atom_site_fract_z
Li1 0.0000 0.0000 0.0000
Li2 0.1679 0.6679 0.5000
Li3 0.3387 0.3387 0.0000
Li4 0.6613 0.6613 0.0000
Li5 0.8321 0.3321 0.5000
Dy1 0.5000 0.0000 0.5000
Ag1 0.0603 0.8234 0.2369
Ag2 0.2228 0.5000 0.7228
Ag3 0.4134 0.1766 0.2369
Ag4 0.5866 0.8234 0.7631
Ag5 0.7772 0.5000 0.2772
Ag6 0.9397 0.1766 0.7631
```

Principal peaks in the range 2θ = 10–80°, sorted by position:
2θ = 26.66°, I 18; 2θ = 26.94°, I 45; 2θ = 27.61°, I 20; 2θ = 38.13°, I 28; 2θ = 38.79°, I 25; 2θ = 38.95°, I 100; 2θ = 47.72°, I 9; 2θ = 55.53°, I 17; 2θ = 69.46°, I 17; 2θ = 70.32°, I 16

No. 3
For LiDy4Ag5, a cell relaxed with GGA-PBE gives the theoretical powder XRD pattern in this record (CuKα).
Peak positions follow from Bragg's law for the DFT cell and can differ from measured ones.

Structural model:
```
data_LiDy4Ag5
_chemical_formula_sum 'Li1 Dy4 Ag5'
_space_group_name_H-M_alt 'P 1'
_space_group_IT_number 1
_space_group_name_Hall 'P 1'
_cell_length_a 3.5694
_cell_length_b 3.5694
_cell_length_c 17.7695
_cell_angle_alpha 90.00
_cell_angle_beta 90.00
_cell_angle_gamma 90.00
loop_
_atom_site_label
_atom_site_fract_x
_atom_site_fract_y
_atom_site_fract_z
Li1 0.0000 0.0000 0.0000
Dy1 0.0000 0.0000 0.1848
Dy2 0.0000 0.0000 0.3950
Dy3 0.0000 0.0000 0.6050
Dy4 0.0000 0.0000 0.8152
Ag1 0.5000 0.5000 0.0810
Ag2 0.5000 0.5000 0.2904
Ag3 0.5000 0.5000 0.5000
Ag4 0.5000 0.5000 0.7096
Ag5 0.5000 0.5000 0.9190
```

Principal peaks in the range 2θ = 10–80°, sorted by position:
2θ = 29.21°, I 4; 2θ = 32.17°, I 12; 2θ = 35.62°, I 100; 2θ = 51.18°, I 13; 2θ = 59.44°, I 7; 2θ = 63.93°, I 22; 2θ = 64.09°, I 7; 2θ = 71.22°, I 4; 2θ = 75.31°, I 4; 2θ = 75.50°, I 4

No. 4
For Li2DyAg6, a cell relaxed with GGA-PBE gives the theoretical powder XRD pattern in this record (CuKα).
Peak positions follow from Bragg's law for the DFT cell and can differ from measured ones.

Structural model:
```
data_Li2DyAg6
_chemical_formula_sum 'Li4 Dy2 Ag12'
_space_group_name_H-M_alt 'P 1'
_space_group_IT_number 1
_space_group_name_Hall 'P 1'
_cell_length_a 8.8379
_cell_length_b 8.8379
_cell_length_c 4.6473
_cell_angle_alpha 90.00
_cell_angle_beta 90.00
_cell_angle_gamma 66.17
loop_
_atom_site_label
_atom_site_fract_x
_atom_site_fract_y
_atom_site_fract_z
Li1 0.1397 0.3037 0.2500
Li2 0.3037 0.1397 0.7500
Li3 0.6963 0.8603 0.2500
Li4 0.8603 0.6963 0.7500
Dy1 0.2489 0.7511 0.7500
Dy2 0.7511 0.2489 0.2500
Ag1 0.0054 0.7993 0.2500
Ag2 0.1295 0.4604 0.7500
Ag3 0.2007 0.9946 0.2500
Ag4 0.3129 0.4941 0.2500
Ag5 0.4604 0.1295 0.2500
Ag6 0.4941 0.3129 0.7500
Ag7 0.5059 0.6871 0.2500
Ag8 0.5396 0.8705 0.7500
Ag9 0.6871 0.5059 0.7500
Ag10 0.7993 0.0054 0.7500
Ag11 0.8705 0.5396 0.2500
Ag12 0.9946 0.2007 0.7500
```

Principal peaks in the range 2θ = 10–80°, sorted by position:
2θ = 11.95°, I 12; 2θ = 26.63°, I 12; 2θ = 29.28°, I 12; 2θ = 30.43°, I 22; 2θ = 34.45°, I 82; 2θ = 37.19°, I 100; 2θ = 38.75°, I 40; 2θ = 50.05°, I 11; 2θ = 54.79°, I 11; 2θ = 69.12°, I 14

No. 5
For Dy3Mg3Ag2, a cell relaxed with GGA-PBE gives the theoretical powder XRD pattern in this record (CuKα).
Peak positions follow from Bragg's law for the DFT cell and can differ from measured ones.

Structural model:
```
data_Dy3Mg3Ag2
_chemical_formula_sum 'Dy3 Mg3 Ag2'
_space_group_name_H-M_alt 'P 1'
_space_group_IT_number 1
_space_group_name_Hall 'P 1'
_cell_length_a 7.8953
_cell_length_b 7.8953
_cell_length_c 3.7817
_cell_angle_alpha 90.00
_cell_angle_beta 90.00
_cell_angle_gamma 120.00
loop_
_atom_site_label
_atom_site_fract_x
_atom_site_fract_y
_atom_site_fract_z
Dy1 0.0000 0.5835 0.0000
Dy2 0.4165 0.4165 0.0000
Dy3 0.5835 0.0000 0.0000
Mg1 0.0000 0.2300 0.5000
Mg2 0.2300 0.0000 0.5000
Mg3 0.7700 0.7700 0.5000
Ag1 0.3333 0.6667 0.5000
Ag2 0.6667 0.3333 0.5000
```

Principal peaks in the range 2θ = 10–80°, sorted by position:
2θ = 12.95°, I 62; 2θ = 22.52°, I 29; 2θ = 32.80°, I 100; 2θ = 34.71°, I 35; 2θ = 35.39°, I 60; 2θ = 39.54°, I 16; 2θ = 47.97°, I 28; 2θ = 54.10°, I 29; 2θ = 60.69°, I 14; 2θ = 70.30°, I 18

No. 6
For DyYMgAg, a cell relaxed with GGA-PBE gives the theoretical powder XRD pattern in this record (CuKα).
Peak positions follow from Bragg's law for the DFT cell and can differ from measured ones.

Structural model:
```
data_DyYMgAg
_chemical_formula_sum 'Dy1 Y1 Mg1 Ag1'
_space_group_name_H-M_alt 'P 1'
_space_group_IT_number 1
_space_group_name_Hall 'P 1'
_cell_length_a 3.7296
_cell_length_b 3.7296
_cell_length_c 7.3311
_cell_angle_alpha 90.00
_cell_angle_beta 90.00
_cell_angle_gamma 90.00
loop_
_atom_site_label
_atom_site_fract_x
_atom_site_fract_y
_atom_site_fract_z
Dy1 0.0000 0.0000 0.0000
Y1 0.0000 0.0000 0.5180
Mg1 0.5000 0.5000 0.2583
Ag1 0.5000 0.5000 0.7629
```

Principal peaks in the range 2θ = 10–80°, sorted by position:
2θ = 12.07°, I 29; 2θ = 23.86°, I 11; 2θ = 26.82°, I 12; 2θ = 33.99°, I 52; 2θ = 34.30°, I 100; 2θ = 36.20°, I 9; 2θ = 48.84°, I 18; 2θ = 61.03°, I 36; 2θ = 61.62°, I 17; 2θ = 72.28°, I 11

No. 7
For NdDy5Ag6, a cell relaxed with GGA-PBE gives the theoretical powder XRD pattern in this record (CuKα).
Peak positions follow from Bragg's law for the DFT cell and can differ from measured ones.

Structural model:
```
data_NdDy5Ag6
_chemical_formula_sum 'Nd1 Dy5 Ag6'
_space_group_name_H-M_alt 'P 1'
_space_group_IT_number 1
_space_group_name_Hall 'P 1'
_cell_length_a 8.2173
_cell_length_b 8.2173
_cell_length_c 7.2534
_cell_angle_alpha 90.00
_cell_angle_beta 90.00
_cell_angle_gamma 143.18
loop_
_atom_site_label
_atom_site_fract_x
_atom_site_fract_y
_atom_site_fract_z
Nd1 0.0000 0.0000 0.0000
Dy1 0.0000 0.0000 0.5000
Dy2 0.3323 0.6677 0.0000
Dy3 0.3343 0.6657 0.5000
Dy4 0.6657 0.3343 0.5000
Dy5 0.6677 0.3323 0.0000
Ag1 0.1701 0.8299 0.2544
Ag2 0.1701 0.8299 0.7456
Ag3 0.5000 0.5000 0.2590
Ag4 0.5000 0.5000 0.7410
Ag5 0.8299 0.1701 0.2544
Ag6 0.8299 0.1701 0.7456
```

Principal peaks in the range 2θ = 10–80°, sorted by position:
2θ = 24.23°, I 3; 2θ = 34.53°, I 51; 2θ = 34.76°, I 100; 2θ = 49.64°, I 18; 2θ = 50.32°, I 9; 2θ = 62.03°, I 36; 2θ = 62.46°, I 18; 2θ = 72.78°, I 3; 2θ = 72.89°, I 3; 2θ = 73.38°, I 11

No. 8
For Nd2DyAg3, a cell relaxed with GGA-PBE gives the theoretical powder XRD pattern in this record (CuKα).
Peak positions follow from Bragg's law for the DFT cell and can differ from measured ones.

Structural model:
```
data_Nd2DyAg3
_chemical_formula_sum 'Nd2 Dy1 Ag3'
_space_group_name_H-M_alt 'P 1'
_space_group_IT_number 1
_space_group_name_Hall 'P 1'
_cell_length_a 3.6912
_cell_length_b 3.6912
_cell_length_c 11.2839
_cell_angle_alpha 90.00
_cell_angle_beta 90.00
_cell_angle_gamma 90.00
loop_
_atom_site_label
_atom_site_fract_x
_atom_site_fract_y
_atom_site_fract_z
Nd1 0.0000 0.0000 0.1707
Nd2 0.0000 0.0000 0.8293
Dy1 0.0000 0.0000 0.5000
Ag1 0.5000 0.5000 0.0000
Ag2 0.5000 0.5000 0.3462
Ag3 0.5000 0.5000 0.6538
```

Principal peaks in the range 2θ = 10–80°, sorted by position:
2θ = 23.65°, I 1; 2θ = 24.11°, I 2; 2θ = 34.03°, I 100; 2θ = 34.36°, I 50; 2θ = 48.40°, I 9; 2θ = 49.38°, I 18; 2θ = 60.70°, I 17; 2θ = 61.33°, I 35; 2θ = 71.64°, I 11; 2θ = 72.42°, I 5